[1]
Gd2Mg2Hg: theoretical powder diffraction line list (λ = 1.5418 Å (Cu Kα)), based on a DFT-relaxed cell (GGA-PBE, OQMD).

Cell and atoms:
```
data_Gd2Mg2Hg
_chemical_formula_sum 'Gd4 Mg4 Hg2'
_cell_length_a 8.3856
_cell_length_b 6.2456
_cell_length_c 9.4592
_cell_angle_alpha 60.51
_cell_angle_beta 40.41
_cell_angle_gamma 79.08
_symmetry_space_group_name_H-M 'P 1'
_symmetry_Int_Tables_number 1
loop_
_symmetry_equiv_pos_as_xyz
'x,y,z'
loop_
_atom_site_label
_atom_site_type_symbol
_atom_site_fract_x
_atom_site_fract_y
_atom_site_fract_z
_atom_site_occupancy
Gd1 Gd 0.1235 0.8765 0.2647 1
Gd2 Gd 0.5147 0.9853 0.3735 1
Gd3 Gd 0.8765 0.1235 0.7353 1
Gd4 Gd 0.9853 0.5147 0.1265 1
Mg1 Mg 0.4496 0.5436 0.3222 1
Mg2 Mg 0.5436 0.4496 0.6845 1
Mg3 Mg 0.5655 0.9278 0.7064 1
Mg4 Mg 0.9278 0.5655 0.8004 1
Hg1 Hg 0.1406 0.1406 0.8594 1
Hg2 Hg 0.3906 0.3906 0.1094 1
```

Main lines, in order of rising 2θ (2θ = 10–90°):
d = 5.135 Å, I = 69
d = 3.153 Å, I = 30
d = 3.061 Å, I = 100
d = 2.920 Å, I = 53
d = 2.720 Å, I = 30
d = 2.699 Å, I = 92
d = 2.674 Å, I = 47
d = 2.567 Å, I = 25
d = 1.915 Å, I = 27
d = 1.812 Å, I = 22

[2]
Zr5SiBi3: theoretical powder diffraction line list (λ = 1.5418 Å (Cu Kα)), based on a DFT-relaxed cell (GGA-PBE, OQMD).

Cell and atoms:
```
data_Zr5SiBi3
_chemical_formula_sum 'Zr10 Si2 Bi6'
_cell_length_a 8.8101
_cell_length_b 8.8101
_cell_length_c 5.9432
_cell_angle_alpha 90.00
_cell_angle_beta 90.00
_cell_angle_gamma 120.00
_symmetry_space_group_name_H-M 'P 1'
_symmetry_Int_Tables_number 1
loop_
_symmetry_equiv_pos_as_xyz
'x,y,z'
loop_
_atom_site_label
_atom_site_type_symbol
_atom_site_fract_x
_atom_site_fract_y
_atom_site_fract_z
_atom_site_occupancy
Zr1 Zr 0.0000 0.2552 0.2500 1
Zr2 Zr 0.0000 0.7448 0.7500 1
Zr3 Zr 0.2552 0.0000 0.2500 1
Zr4 Zr 0.2552 0.2552 0.7500 1
Zr5 Zr 0.3333 0.6667 0.0000 1
Zr6 Zr 0.3333 0.6667 0.5000 1
Zr7 Zr 0.6667 0.3333 0.0000 1
Zr8 Zr 0.6667 0.3333 0.5000 1
Zr9 Zr 0.7448 0.0000 0.7500 1
Zr10 Zr 0.7448 0.7448 0.2500 1
Si1 Si 0.0000 0.0000 0.0000 1
Si2 Si 0.0000 0.0000 0.5000 1
Bi1 Bi 0.0000 0.3948 0.7500 1
Bi2 Bi 0.0000 0.6052 0.2500 1
Bi3 Bi 0.3948 0.0000 0.7500 1
Bi4 Bi 0.3948 0.3948 0.2500 1
Bi5 Bi 0.6052 0.0000 0.2500 1
Bi6 Bi 0.6052 0.6052 0.7500 1
```

Main lines, in order of rising 2θ (2θ = 10–90°):
d = 3.539 Å, I = 37
d = 2.972 Å, I = 29
d = 2.594 Å, I = 100
d = 2.543 Å, I = 59
d = 2.463 Å, I = 77
d = 1.994 Å, I = 44
d = 1.633 Å, I = 25
d = 1.446 Å, I = 16
d = 1.401 Å, I = 18
d = 1.357 Å, I = 19

[3]
Sc2Ag3Os: theoretical powder diffraction line list (λ = 1.5418 Å (Cu Kα)), based on a DFT-relaxed cell (GGA-PBE, OQMD).

Cell and atoms:
```
data_Sc2Ag3Os
_chemical_formula_sum 'Sc2 Ag3 Os1'
_cell_length_a 3.4636
_cell_length_b 3.4636
_cell_length_c 8.9394
_cell_angle_alpha 90.00
_cell_angle_beta 90.00
_cell_angle_gamma 90.00
_symmetry_space_group_name_H-M 'P 1'
_symmetry_Int_Tables_number 1
loop_
_symmetry_equiv_pos_as_xyz
'x,y,z'
loop_
_atom_site_label
_atom_site_type_symbol
_atom_site_fract_x
_atom_site_fract_y
_atom_site_fract_z
_atom_site_occupancy
Sc1 Sc 0.0000 0.0000 0.0000 1
Sc2 Sc 0.5000 0.5000 0.4694 1
Ag1 Ag 0.0000 0.0000 0.3167 1
Ag2 Ag 0.0000 0.0000 0.6466 1
Ag3 Ag 0.5000 0.5000 0.8102 1
Os1 Os 0.5000 0.5000 0.1473 1
```

Main lines, in order of rising 2θ (2θ = 10–90°):
d = 4.470 Å, I = 14
d = 3.230 Å, I = 24
d = 2.449 Å, I = 64
d = 2.259 Å, I = 100
d = 2.148 Å, I = 8
d = 1.732 Å, I = 22
d = 1.374 Å, I = 39
d = 1.273 Å, I = 15
d = 1.129 Å, I = 10
d = 1.095 Å, I = 10

[4]
GdBePO: theoretical powder diffraction line list (λ = 1.5418 Å (Cu Kα)), based on a DFT-relaxed cell (GGA-PBE, OQMD).

Cell and atoms:
```
data_GdBePO
_chemical_formula_sum 'Gd2 Be2 P2 O2'
_cell_length_a 4.1340
_cell_length_b 5.8895
_cell_length_c 5.4733
_cell_angle_alpha 90.00
_cell_angle_beta 90.00
_cell_angle_gamma 90.00
_symmetry_space_group_name_H-M 'P 1'
_symmetry_Int_Tables_number 1
loop_
_symmetry_equiv_pos_as_xyz
'x,y,z'
loop_
_atom_site_label
_atom_site_type_symbol
_atom_site_fract_x
_atom_site_fract_y
_atom_site_fract_z
_atom_site_occupancy
Gd1 Gd 0.0000 0.2478 0.0000 1
Gd2 Gd 0.0000 0.7522 0.5000 1
Be1 Be 0.5000 0.3840 0.6170 1
Be2 Be 0.5000 0.6160 0.1170 1
P1 P 0.0000 0.2308 0.5082 1
P2 P 0.0000 0.7692 0.0082 1
O1 O 0.5000 0.3926 0.9290 1
O2 O 0.5000 0.6074 0.4290 1
```

Main lines, in order of rising 2θ (2θ = 10–90°):
d = 4.134 Å, I = 85
d = 4.009 Å, I = 100
d = 2.945 Å, I = 45
d = 2.878 Å, I = 71
d = 2.737 Å, I = 44
d = 2.398 Å, I = 55
d = 2.282 Å, I = 41
d = 2.005 Å, I = 30
d = 1.837 Å, I = 24
d = 1.804 Å, I = 45

[5]
InCuTeS: theoretical powder diffraction line list (λ = 1.5418 Å (Cu Kα)), based on a DFT-relaxed cell (GGA-PBE, OQMD).

Cell and atoms:
```
data_InCuTeS
_chemical_formula_sum 'In2 Cu2 Te2 S2'
_cell_length_a 7.2833
_cell_length_b 7.2833
_cell_length_c 7.2833
_cell_angle_alpha 132.22
_cell_angle_beta 131.79
_cell_angle_gamma 70.22
_symmetry_space_group_name_H-M 'P 1'
_symmetry_Int_Tables_number 1
loop_
_symmetry_equiv_pos_as_xyz
'x,y,z'
loop_
_atom_site_label
_atom_site_type_symbol
_atom_site_fract_x
_atom_site_fract_y
_atom_site_fract_z
_atom_site_occupancy
In1 In 0.1156 0.3656 0.7500 1
In2 In 0.3844 0.1344 0.2500 1
Cu1 Cu 0.5999 0.8499 0.7500 1
Cu2 Cu 0.9001 0.6501 0.2500 1
Te1 Te 0.5450 0.7500 0.2950 1
Te2 Te 0.9550 0.2500 0.2050 1
S1 S 0.2500 0.9781 0.7281 1
S2 S 0.7500 0.5219 0.7719 1
```

Main lines, in order of rising 2θ (2θ = 10–90°):
d = 4.189 Å, I = 10
d = 3.427 Å, I = 100
d = 2.643 Å, I = 7
d = 2.428 Å, I = 8
d = 2.105 Å, I = 21
d = 2.095 Å, I = 46
d = 1.794 Å, I = 25
d = 1.782 Å, I = 15
d = 1.360 Å, I = 9
d = 1.213 Å, I = 9

[6]
Nd2Sm2Br2N2Cl3: theoretical powder diffraction line list (λ = 1.5418 Å (Cu Kα)), based on a DFT-relaxed cell (GGA-PBE, OQMD).

Cell and atoms:
```
data_Nd2Sm2Br2N2Cl3
_chemical_formula_sum 'Nd2 Sm2 Br2 N2 Cl3'
_cell_length_a 9.5593
_cell_length_b 9.5593
_cell_length_c 8.0350
_cell_angle_alpha 104.73
_cell_angle_beta 104.73
_cell_angle_gamma 22.04
_symmetry_space_group_name_H-M 'P 1'
_symmetry_Int_Tables_number 1
loop_
_symmetry_equiv_pos_as_xyz
'x,y,z'
loop_
_atom_site_label
_atom_site_type_symbol
_atom_site_fract_x
_atom_site_fract_y
_atom_site_fract_z
_atom_site_occupancy
Nd1 Nd 0.0009 0.0009 0.2054 1
Nd2 Nd 0.9991 0.9991 0.7946 1
Sm1 Sm 0.3374 0.3374 0.8944 1
Sm2 Sm 0.6626 0.6626 0.1056 1
Br1 Br 0.1690 0.1690 0.8132 1
Br2 Br 0.8310 0.8310 0.1868 1
N1 N 0.4617 0.4617 0.9769 1
N2 N 0.5383 0.5383 0.0231 1
Cl1 Cl 0.1567 0.1567 0.3707 1
Cl2 Cl 0.5000 0.5000 0.5000 1
Cl3 Cl 0.8433 0.8433 0.6293 1
```

Main lines, in order of rising 2θ (2θ = 10–90°):
d = 7.761 Å, I = 95
d = 3.318 Å, I = 20
d = 3.127 Å, I = 19
d = 3.046 Å, I = 21
d = 3.021 Å, I = 75
d = 2.702 Å, I = 100
d = 2.588 Å, I = 24
d = 2.046 Å, I = 37
d = 1.983 Å, I = 40
d = 1.564 Å, I = 20

[7]
SrHf2Ni: theoretical powder diffraction line list (λ = 1.5418 Å (Cu Kα)), based on a DFT-relaxed cell (GGA-PBE, OQMD).

Cell and atoms:
```
data_SrHf2Ni
_chemical_formula_sum 'Sr1 Hf2 Ni1'
_cell_length_a 5.0169
_cell_length_b 5.0169
_cell_length_c 5.0169
_cell_angle_alpha 60.00
_cell_angle_beta 60.00
_cell_angle_gamma 60.00
_symmetry_space_group_name_H-M 'P 1'
_symmetry_Int_Tables_number 1
loop_
_symmetry_equiv_pos_as_xyz
'x,y,z'
loop_
_atom_site_label
_atom_site_type_symbol
_atom_site_fract_x
_atom_site_fract_y
_atom_site_fract_z
_atom_site_occupancy
Sr1 Sr 0.0000 0.0000 0.0000 1
Hf1 Hf 0.2500 0.2500 0.2500 1
Hf2 Hf 0.5000 0.5000 0.5000 1
Ni1 Ni 0.7500 0.7500 0.7500 1
```

Main lines, in order of rising 2θ (2θ = 10–90°):
d = 4.096 Å, I = 18
d = 2.508 Å, I = 100
d = 2.139 Å, I = 10
d = 1.774 Å, I = 18
d = 1.628 Å, I = 4
d = 1.448 Å, I = 36
d = 1.365 Å, I = 3
d = 1.254 Å, I = 11
d = 1.199 Å, I = 3
d = 1.122 Å, I = 16

[8]
Nb2Cu2SiGe: theoretical powder diffraction line list (λ = 1.5418 Å (Cu Kα)), based on a DFT-relaxed cell (GGA-PBE, OQMD).

Cell and atoms:
```
data_Nb2Cu2SiGe
_chemical_formula_sum 'Nb2 Cu2 Si1 Ge1'
_cell_length_a 3.6000
_cell_length_b 3.6000
_cell_length_c 6.7369
_cell_angle_alpha 90.00
_cell_angle_beta 90.00
_cell_angle_gamma 90.00
_symmetry_space_group_name_H-M 'P 1'
_symmetry_Int_Tables_number 1
loop_
_symmetry_equiv_pos_as_xyz
'x,y,z'
loop_
_atom_site_label
_atom_site_type_symbol
_atom_site_fract_x
_atom_site_fract_y
_atom_site_fract_z
_atom_site_occupancy
Nb1 Nb 0.0000 0.0000 0.0000 1
Nb2 Nb 0.5000 0.5000 0.2712 1
Cu1 Cu 0.0000 0.5000 0.6478 1
Cu2 Cu 0.5000 0.0000 0.6478 1
Si1 Si 0.5000 0.5000 0.8836 1
Ge1 Ge 0.0000 0.0000 0.3957 1
```

Main lines, in order of rising 2θ (2θ = 10–90°):
d = 2.546 Å, I = 21
d = 2.460 Å, I = 65
d = 2.381 Å, I = 100
d = 2.246 Å, I = 25
d = 2.031 Å, I = 62
d = 1.905 Å, I = 31
d = 1.800 Å, I = 56
d = 1.453 Å, I = 24
d = 1.405 Å, I = 32
d = 1.308 Å, I = 18